Entry 1:
Starting from a DFT-relaxed cell (PBE, the Materials Project), the powder diffractogram of Dy2OsPd was calculated for a wavelength of 1.5418 Å.

Crystal structure
Lattice parameters (Å, degrees): 4.8824 4.8824 4.8824 60.00 60.00 60.00
Sites, in units of the cell vectors:
1 Dy 0.2500 0.2500 0.2500
2 Dy 0.7500 0.7500 0.7500
3 Os 0.0000 0.0000 0.0000
4 Pd 0.5000 0.5000 0.5000

Largest 6 diffraction maxima, in order of falling intensity, 10° ≤ 2θ ≤ 80°:
Position (°2θ), d [Å], I/Imax
36.8, 2.441, 100.0
66.3, 1.409, 35.9
53.1, 1.726, 17.6
78.3, 1.221, 11.2
22.3, 3.986, 3.6
43.5, 2.082, 2.1

---

Entry 2:
Starting from a DFT-relaxed cell (PBE, the Materials Project), the powder diffractogram of Mg2MnIn3S8 was calculated for a wavelength of 1.5418 Å.

Crystal structure
Lattice parameters (Å, degrees): 7.5654 7.5654 7.5654 60.70 60.70 60.70
Sites, in units of the cell vectors:
1 Mg 0.1238 0.1238 0.1238
2 Mg 0.8762 0.8762 0.8762
3 Mn 0.5000 0.5000 0.5000
4 In 0.0000 0.5000 0.5000
5 In 0.5000 0.0000 0.5000
6 In 0.5000 0.5000 0.0000
7 S 0.2574 0.2574 0.2574
8 S 0.2675 0.2675 0.7234
9 S 0.2675 0.7234 0.2675
10 S 0.2766 0.7325 0.7325
11 S 0.7234 0.2675 0.2675
12 S 0.7325 0.2766 0.7325
13 S 0.7325 0.7325 0.2766
14 S 0.7426 0.7426 0.7426

Largest 6 diffraction maxima, in order of falling intensity, 10° ≤ 2θ ≤ 80°:
Position (°2θ), d [Å], I/Imax
33.3, 2.689, 100.0
14.2, 6.231, 59.3
27.4, 3.258, 48.8
47.6, 1.911, 45.6
48.1, 1.891, 44.8
14.4, 6.144, 43.2